Diffraction record for BaTl2GaF6. The powder diffraction line list is calculated, not measured: it uses DFT lattice parameters and positions (GGA-PBE) and Cu Kα, 1.54184 Å.
No peak broadening, texture or thermal motion is included.

Peak list (10 most intense, 10° ≤ 2θ ≤ 80°, low angle first)
- 19.3 deg, d = 4.594 Å, rel. 11, (1 0 1)
- 27.3 deg, d = 3.272 Å, rel. 25, (0 0 2)
- 27.5 deg, d = 3.249 Å, rel. 100, (1 2 1)
- 27.7 deg, d = 3.224 Å, rel. 25, (2 0 0)
- 39.2 deg, d = 2.297 Å, rel. 44, (0 4 0)
- 48.3 deg, d = 1.885 Å, rel. 20, (1 2 3)
- 48.8 deg, d = 1.866 Å, rel. 20, (3 2 1)
- 56.7 deg, d = 1.624 Å, rel. 19, (2 4 2)
- 64.1 deg, d = 1.453 Å, rel. 20, (1 6 1)
- 77.5 deg, d = 1.231 Å, rel. 11, (1 6 3)

Crystal structure
abc: 6.4487 9.1911 6.5445
angles: 90.00 90.00 90.00
Space group Pmmn (No. 59, origin choice 2)
One atom of each set of equivalent atoms:
Ba  0.2500  0.2500  0.2407
Tl  0.2500  0.0030  0.7414
Ga  0.2500  0.7500  0.2568
F  0.0333  0.7500  0.0467
F  0.0344  0.7500  0.4706
F  0.2500  0.5362  0.2593


Diffraction record for BaHgGeF6. The powder diffraction line list is calculated, not measured: it uses DFT lattice parameters and positions (GGA-PBE) and Cu Kα, 1.54184 Å.
No peak broadening, texture or thermal motion is included.

Peak list (10 most intense, 10° ≤ 2θ ≤ 80°, low angle first)
- 23.8 deg, d = 3.734 Å, rel. 100, (1 -1 0)
- 24.4 deg, d = 3.641 Å, rel. 88, (1 0 1)
- 24.6 deg, d = 3.612 Å, rel. 91, (1 1 -1)
- 28.6 deg, d = 3.119 Å, rel. 56, (0 1 1)
- 29.5 deg, d = 3.032 Å, rel. 51, (0 1 -2)
- 32.6 deg, d = 2.745 Å, rel. 41, (0 2 -1)
- 35.0 deg, d = 2.567 Å, rel. 46, (1 0 -2)
- 39.4 deg, d = 2.285 Å, rel. 28, (2 -1 1)
- 39.9 deg, d = 2.262 Å, rel. 40, (2 1 0)
- 41.3 deg, d = 2.186 Å, rel. 34, (1 -2 2)

Crystal structure
abc: 5.2726 5.4934 6.1540
angles: 114.62 94.61 91.39
Space group P1 (No. 1)
One atom of each set of equivalent atoms:
Ba  0.0000  0.0000  0.0000
Hg  0.3052  0.3582  0.6692
Ge  0.6667  0.6426  0.2929
F  0.3758  0.4230  0.1987
F  0.5157  0.8672  0.1731
F  0.5927  0.8291  0.6023
F  0.7915  0.4599  0.9938
F  0.8278  0.4014  0.3801
F  0.9615  0.8612  0.3714


Diffraction record for Ba3H2F8. The powder diffraction line list is calculated, not measured: it uses DFT lattice parameters and positions (GGA-PBE) and Cu Kα, 1.54184 Å.
No peak broadening, texture or thermal motion is included.

Peak list (10 most intense, 10° ≤ 2θ ≤ 80°, low angle first)
- 18.5 deg, d = 4.794 Å, rel. 69, (1 0 1)
- 24.9 deg, d = 3.581 Å, rel. 35, (1 0 4)
- 28.0 deg, d = 3.183 Å, rel. 100, (0 1 5)
- 31.5 deg, d = 2.844 Å, rel. 94, (1 1 0)
- 40.5 deg, d = 2.227 Å, rel. 31, (0 2 4)
- 41.0 deg, d = 2.201 Å, rel. 28, (1 1 6)
- 42.6 deg, d = 2.121 Å, rel. 49, (2 0 5)
- 47.3 deg, d = 1.921 Å, rel. 25, (1 0 10)
- 50.8 deg, d = 1.797 Å, rel. 25, (1 1 9)
- 53.9 deg, d = 1.700 Å, rel. 34, (1 2 5)

Crystal structure
abc: 5.6875 5.6875 20.8590
angles: 90.00 90.00 120.00
Space group R-3m (No. 166, hexagonal axes)
One atom of each set of equivalent atoms:
Ba  0.0000  0.0000  0.0000
Ba  0.0000  0.0000  0.2056
H  0.0000  0.0000  0.3865
F  0.0000  0.0000  0.3389
F  0.0073  0.5036  0.7683


Diffraction record for BaHF2. The powder diffraction line list is calculated, not measured: it uses DFT lattice parameters and positions (GGA-PBE) and Cu Kα, 1.54184 Å.
No peak broadening, texture or thermal motion is included.

Peak list (10 most intense, 10° ≤ 2θ ≤ 80°, low angle first)
- 21.9 deg, d = 4.061 Å, rel. 24, (1 1 -1)
- 22.5 deg, d = 3.945 Å, rel. 100, (1 1 0)
- 24.4 deg, d = 3.653 Å, rel. 47, (0 0 2)
- 24.7 deg, d = 3.600 Å, rel. 41, (2 0 -2)
- 27.0 deg, d = 3.304 Å, rel. 19, (2 0 0)
- 27.4 deg, d = 3.253 Å, rel. 33, (1 1 -2)
- 36.6 deg, d = 2.457 Å, rel. 18, (0 2 0)
- 38.6 deg, d = 2.331 Å, rel. 49, (1 1 2)
- 39.1 deg, d = 2.304 Å, rel. 33, (3 1 -2)
- 41.6 deg, d = 2.169 Å, rel. 19, (2 0 -4)

Crystal structure
abc: 7.8477 4.9179 8.6770
angles: 90.00 122.65 90.00
Space group P2_1/c (No. 14)
One atom of each set of equivalent atoms:
Ba  0.2268  0.1832  0.2374
H  0.4981  0.5567  0.4692
F  0.0291  0.7292  0.1404
F  0.4240  0.0910  0.6091


Diffraction record for BaH6F8. The powder diffraction line list is calculated, not measured: it uses DFT lattice parameters and positions (GGA-PBE) and Cu Kα, 1.54184 Å.
No peak broadening, texture or thermal motion is included.

Peak list (10 most intense, 10° ≤ 2θ ≤ 80°, low angle first)
- 13.0 deg, d = 6.835 Å, rel. 89, (1 0 0)
- 13.9 deg, d = 6.379 Å, rel. 46, (0 0 2)
- 14.7 deg, d = 6.025 Å, rel. 52, (1 0 1)
- 22.5 deg, d = 3.946 Å, rel. 50, (1 1 0)
- 24.7 deg, d = 3.611 Å, rel. 71, (1 0 3)
- 26.6 deg, d = 3.356 Å, rel. 79, (1 1 2)
- 33.6 deg, d = 2.664 Å, rel. 46, (2 0 3)
- 37.6 deg, d = 2.392 Å, rel. 66, (1 0 5)
- 40.9 deg, d = 2.208 Å, rel. 100, (2 1 3)
- 42.1 deg, d = 2.146 Å, rel. 50, (3 0 2)

Crystal structure
abc: 7.8929 7.8929 12.7574
angles: 90.00 90.00 120.00
Space group P-62c (No. 190)
One atom of each set of equivalent atoms:
Ba  0.3333  0.6667  0.0633
H  0.0000  0.1706  0.0000
H  0.0227  0.3222  0.2500
H  0.1107  0.7234  0.6648
F  0.0000  0.0000  0.0000
F  0.0000  0.2992  0.0000
F  0.0671  0.6299  0.6025
F  0.1614  0.3275  0.7500
F  0.1613  0.4378  0.2500


Diffraction record for Ba4P3HF24. The powder diffraction line list is calculated, not measured: it uses DFT lattice parameters and positions (GGA-PBE) and Cu Kα, 1.54184 Å.
No peak broadening, texture or thermal motion is included.

Peak list (10 most intense, 10° ≤ 2θ ≤ 80°, low angle first)
- 16.1 deg, d = 5.490 Å, rel. 47, (0 0 2)
- 22.4 deg, d = 3.973 Å, rel. 47, (0 1 -2)
- 23.2 deg, d = 3.834 Å, rel. 100, (1 -1 0)
- 24.5 deg, d = 3.635 Å, rel. 50, (1 2 1)
- 24.9 deg, d = 3.578 Å, rel. 34, (1 0 -2)
- 25.6 deg, d = 3.476 Å, rel. 45, (0 2 3)
- 28.3 deg, d = 3.152 Å, rel. 38, (1 1 3)
- 38.1 deg, d = 2.363 Å, rel. 33, (0 1 -4)
- 39.5 deg, d = 2.280 Å, rel. 33, (2 1 -1)
- 43.9 deg, d = 2.064 Å, rel. 49, (1 4 0)

Crystal structure
abc: 4.8045 9.2440 11.8603
angles: 67.80 85.88 78.99
Space group P-1 (No. 2)
One atom of each set of equivalent atoms:
Ba  0.1173  0.0602  0.2475
Ba  0.2361  0.3022  0.7917
P  0.3465  0.2811  0.4367
P  0.5000  0.5000  0.0000
H  0.0000  0.0000  0.0000
F  0.0808  0.3694  0.3391
F  0.0974  0.0987  0.0112
F  0.1682  0.3414  0.5376
F  0.2043  0.1197  0.4865
F  0.2273  0.7844  0.2324
F  0.2493  0.5897  0.8972
F  0.2992  0.5528  0.1001
F  0.3456  0.0253  0.7768
F  0.3700  0.3356  0.0406
F  0.3904  0.8082  0.4690
F  0.4792  0.7816  0.6661
F  0.4823  0.4424  0.3827


Diffraction record for BaSnH2F8. The powder diffraction line list is calculated, not measured: it uses DFT lattice parameters and positions (GGA-PBE) and Cu Kα, 1.54184 Å.
No peak broadening, texture or thermal motion is included.

Peak list (10 most intense, 10° ≤ 2θ ≤ 80°, low angle first)
- 18.9 deg, d = 4.685 Å, rel. 100, (0 1 0)
- 19.1 deg, d = 4.635 Å, rel. 95, (1 0 0)
- 21.7 deg, d = 4.087 Å, rel. 90, (1 -1 0)
- 23.3 deg, d = 3.821 Å, rel. 62, (0 0 2)
- 28.3 deg, d = 3.153 Å, rel. 44, (0 1 -2)
- 31.6 deg, d = 2.834 Å, rel. 46, (1 1 0)
- 32.5 deg, d = 2.753 Å, rel. 39, (1 0 2)
- 36.2 deg, d = 2.480 Å, rel. 41, (1 1 -2)
- 36.8 deg, d = 2.445 Å, rel. 30, (2 -1 0)
- 42.7 deg, d = 2.117 Å, rel. 44, (1 1 2)

Crystal structure
abc: 4.9815 5.0151 7.7498
angles: 94.21 96.62 109.78
Space group P-1 (No. 2)
One atom of each set of equivalent atoms:
Ba  0.0000  0.0000  0.0000
Sn  0.0000  0.0000  0.5000
H  0.3103  0.5354  0.8131
F  0.2077  0.2177  0.3176
F  0.2447  0.2719  0.7289
F  0.2466  0.7740  0.5145
F  0.3470  0.6938  0.9152